1.
This entry pairs a crystal structure of Ce4Ga2Sb with its calculated powder diffraction line list. Radiation: Cu Kα (weighted mean of Kα1 and Kα2). Structure: DFT lattice parameters and positions (PBE).
Peak positions follow from Bragg's law for the DFT cell and can differ from measured ones.

Peak list (8 most intense, 2θ from 10° to 80°, low angle first)
2θ (°)  I (rel.)
30.64  100.0
30.76  69.9
31.79  61.8
36.55  43.9
36.88  51.9
37.43  83.6
48.67  42.8
62.06  20.8

Cell and atoms:
```
Ce4Ga2Sb
1.0
-4.4332 4.6111 4.6170
4.4332 -4.6111 4.6170
4.4332 4.6111 -4.6170
Ce Ga Sb
8 4 2
direct
0.0037 0.8413 0.4739 Ce
0.0183 0.3505 0.4936 Ce
0.1431 0.1495 0.1678 Ce
0.3569 0.5247 0.0064 Ce
0.4817 0.9753 0.3322 Ce
0.4963 0.9703 0.8376 Ce
0.6327 0.6587 0.6624 Ce
0.8673 0.5297 0.0261 Ce
0.1117 0.7500 0.8617 Ga
0.2500 0.6172 0.3672 Ga
0.3883 0.2500 0.6383 Ga
0.7500 0.8828 0.1328 Ga
0.6204 0.3704 0.2500 Sb
0.8796 0.1296 0.7500 Sb
```

***

2.
This entry pairs a crystal structure of La2Ti3Ag2O10 with its calculated powder diffraction line list. Radiation: Cu Kα (weighted mean of Kα1 and Kα2). Structure: DFT lattice parameters and positions (PBE).
Peak positions follow from Bragg's law for the DFT cell and can differ from measured ones.

Peak list (8 most intense, 2θ from 10° to 80°, low angle first)
2θ (°)  I (rel.)
31.55  100.0
32.76  50.8
41.25  14.8
43.36  17.2
47.01  30.5
55.39  22.7
57.72  35.0
65.86  17.8

Cell and atoms:
```
La2Ti3Ag2O10
1.0
-1.9328 1.9328 14.6089
1.9328 -1.9328 14.6089
1.9328 1.9328 -14.6089
La Ti Ag O
2 3 2 10
direct
0.0742 0.0742 0.0000 La
0.9258 0.9258 0.0000 La
0.3542 0.3542 0.0000 Ti
0.5000 0.5000 0.0000 Ti
0.6458 0.6458 0.0000 Ti
0.2148 0.2148 0.0000 Ag
0.7852 0.7852 0.0000 Ag
0.0000 0.5000 0.5000 O
0.1307 0.6307 0.5000 O
0.2933 0.2933 0.0000 O
0.3693 0.8693 0.5000 O
0.4334 0.4334 0.0000 O
0.5000 0.0000 0.5000 O
0.5666 0.5666 0.0000 O
0.6307 0.1307 0.5000 O
0.7067 0.7067 0.0000 O
0.8693 0.3693 0.5000 O
```

***

3.
This entry pairs a crystal structure of TbY4Se5 with its calculated powder diffraction line list. Radiation: Cu Kα (weighted mean of Kα1 and Kα2). Structure: DFT lattice parameters and positions (PBE).
Peak positions follow from Bragg's law for the DFT cell and can differ from measured ones.

Peak list (8 most intense, 2θ from 10° to 80°, low angle first)
2θ (°)  I (rel.)
30.83  51.1
30.98  100.0
44.27  72.4
44.38  36.4
55.01  38.2
73.02  15.4
73.25  16.0
73.33  16.0

Cell and atoms:
```
TbY4Se5
1.0
-2.0414 2.0414 14.5005
2.0414 -2.0414 14.5005
2.0414 2.0414 -14.5005
Tb Y Se
1 4 5
direct
0.0000 0.0000 0.0000 Tb
0.2029 0.2029 0.0000 Y
0.4020 0.4020 0.0000 Y
0.5980 0.5980 0.0000 Y
0.7971 0.7971 0.0000 Y
0.1013 0.1013 0.0000 Se
0.3020 0.3020 0.0000 Se
0.5000 0.5000 0.0000 Se
0.6980 0.6980 0.0000 Se
0.8987 0.8987 0.0000 Se
```

***

4.
This entry pairs a crystal structure of Er3InPt with its calculated powder diffraction line list. Radiation: Cu Kα (weighted mean of Kα1 and Kα2). Structure: DFT lattice parameters and positions (PBE).
Peak positions follow from Bragg's law for the DFT cell and can differ from measured ones.

Peak list (8 most intense, 2θ from 10° to 80°, low angle first)
2θ (°)  I (rel.)
23.62  24.3
23.91  44.1
30.99  46.9
34.98  100.0
35.58  84.6
39.85  44.4
40.00  31.9
63.04  35.0

Cell and atoms:
```
Er3InPt
1.0
7.2224 -5.4060 0.0000
7.2224 5.4060 0.0000
0.0000 0.0000 7.2904
Er In Pt
12 4 4
direct
0.1311 0.1311 0.0000 Er
0.1311 0.1311 0.5000 Er
0.1934 0.5302 0.5051 Er
0.1934 0.5302 0.9949 Er
0.4698 0.8066 0.5051 Er
0.4698 0.8066 0.9949 Er
0.5302 0.1934 0.0051 Er
0.5302 0.1934 0.4949 Er
0.8066 0.4698 0.0051 Er
0.8066 0.4698 0.4949 Er
0.8689 0.8689 0.0000 Er
0.8689 0.8689 0.5000 Er
0.1747 0.8253 0.2500 In
0.4993 0.5007 0.7500 In
0.5007 0.4993 0.2500 In
0.8253 0.1747 0.7500 In
0.0610 0.3731 0.2500 Pt
0.3731 0.0610 0.7500 Pt
0.6269 0.9390 0.2500 Pt
0.9390 0.6269 0.7500 Pt
```

***

5.
This entry pairs a crystal structure of La3Sm3In2 with its calculated powder diffraction line list. Radiation: Cu Kα (weighted mean of Kα1 and Kα2). Structure: DFT lattice parameters and positions (PBE).
Peak positions follow from Bragg's law for the DFT cell and can differ from measured ones.

Peak list (8 most intense, 2θ from 10° to 80°, low angle first)
2θ (°)  I (rel.)
28.06  27.8
31.45  100.0
34.54  64.6
49.65  11.1
51.82  24.4
53.94  35.4
58.00  15.7
67.48  22.1

Cell and atoms:
```
La3Sm3In2
1.0
4.4967 2.5962 3.6741
-4.4967 2.5962 3.6741
0.0000 -5.1923 3.6741
La Sm In
3 3 2
direct
0.0000 0.2525 0.7475 La
0.2525 0.7475 0.0000 La
0.7475 0.0000 0.2525 La
0.2550 0.7450 0.5000 Sm
0.5000 0.2550 0.7450 Sm
0.7450 0.5000 0.2550 Sm
0.2520 0.2520 0.2520 In
0.7480 0.7480 0.7480 In
```

***

6.
This entry pairs a crystal structure of NaLiNb2 with its calculated powder diffraction line list. Radiation: Cu Kα (weighted mean of Kα1 and Kα2). Structure: DFT lattice parameters and positions (PBE).
Peak positions follow from Bragg's law for the DFT cell and can differ from measured ones.

Peak list (8 most intense, 2θ from 10° to 80°, low angle first)
2θ (°)  I (rel.)
15.33  100.0
30.94  33.5
34.61  75.7
41.24  46.0
51.07  31.6
52.44  22.4
58.56  11.2
69.90  11.8

Cell and atoms:
```
NaLiNb2
1.0
-1.8806 1.8806 11.5600
1.8806 -1.8806 11.5600
1.8806 1.8806 -11.5600
Na Li Nb
2 2 4
direct
0.0000 0.0000 0.0000 Na
0.7500 0.2500 0.5000 Na
0.2500 0.7500 0.5000 Li
0.5000 0.5000 0.0000 Li
0.1295 0.6250 0.0045 Nb
0.3750 0.3795 0.5045 Nb
0.6205 0.1250 0.9955 Nb
0.8750 0.8705 0.4955 Nb
```

***

7.
This entry pairs a crystal structure of CsCd3Sn2 with its calculated powder diffraction line list. Radiation: Cu Kα (weighted mean of Kα1 and Kα2). Structure: DFT lattice parameters and positions (PBE).
Peak positions follow from Bragg's law for the DFT cell and can differ from measured ones.

Peak list (8 most intense, 2θ from 10° to 80°, low angle first)
2θ (°)  I (rel.)
10.41  50.4
26.53  38.8
26.85  49.5
28.48  88.4
32.54  100.0
35.83  31.9
35.98  76.7
37.63  41.0

Cell and atoms:
```
CsCd3Sn2
1.0
9.0309 -2.4961 0.0000
9.0309 2.4961 0.0000
-3.4300 0.0000 8.4971
Cs Cd Sn
2 6 4
direct
0.1602 0.1602 0.0738 Cs
0.8398 0.8398 0.9262 Cs
0.0302 0.0302 0.3546 Cd
0.3146 0.3146 0.5583 Cd
0.4106 0.4106 0.3371 Cd
0.5894 0.5894 0.6629 Cd
0.6854 0.6854 0.4417 Cd
0.9698 0.9698 0.6454 Cd
0.1759 0.1759 0.6572 Sn
0.4743 0.4743 0.8231 Sn
0.5257 0.5257 0.1769 Sn
0.8241 0.8241 0.3428 Sn
```

***

8.
This entry pairs a crystal structure of CaErBiPb with its calculated powder diffraction line list. Radiation: Cu Kα (weighted mean of Kα1 and Kα2). Structure: DFT lattice parameters and positions (PBE).
Peak positions follow from Bragg's law for the DFT cell and can differ from measured ones.

Peak list (8 most intense, 2θ from 10° to 80°, low angle first)
2θ (°)  I (rel.)
19.67  8.7
22.75  12.4
32.39  100.0
46.46  18.6
52.34  6.1
57.78  39.1
67.81  12.2
77.17  17.1

Cell and atoms:
```
CaErBiPb
1.0
0.0000 3.9088 3.9088
3.9088 0.0000 3.9088
3.9088 3.9088 0.0000
Ca Er Bi Pb
1 1 1 1
direct
0.0000 0.0000 0.0000 Ca
0.5000 0.5000 0.5000 Er
0.2500 0.2500 0.2500 Bi
0.7500 0.7500 0.7500 Pb
```

***

9.
This entry pairs a crystal structure of TiFeCo4 with its calculated powder diffraction line list. Radiation: Cu Kα (weighted mean of Kα1 and Kα2). Structure: DFT lattice parameters and positions (PBE).
Peak positions follow from Bragg's law for the DFT cell and can differ from measured ones.

Peak list (8 most intense, 2θ from 10° to 80°, low angle first)
2θ (°)  I (rel.)
23.32  12.9
38.53  23.5
45.53  100.0
47.67  45.1
55.63  6.8
61.13  2.5
69.71  6.9
74.63  26.8

Cell and atoms:
```
TiFeCo4
1.0
0.0000 3.3041 3.3041
3.3041 0.0000 3.3041
3.3041 3.3041 0.0000
Ti Fe Co
1 1 4
direct
0.0000 0.0000 0.0000 Ti
0.7500 0.7500 0.7500 Fe
0.3753 0.3753 0.3753 Co
0.3753 0.3753 0.8742 Co
0.3753 0.8742 0.3753 Co
0.8742 0.3753 0.3753 Co
```

***

10.
This entry pairs a crystal structure of KHoTm4S8 with its calculated powder diffraction line list. Radiation: Cu Kα (weighted mean of Kα1 and Kα2). Structure: DFT lattice parameters and positions (PBE).
Peak positions follow from Bragg's law for the DFT cell and can differ from measured ones.

Peak list (8 most intense, 2θ from 10° to 80°, low angle first)
2θ (°)  I (rel.)
13.34  46.1
25.69  100.0
25.75  34.3
26.90  23.0
31.13  46.3
40.82  48.9
44.51  41.2
44.68  40.9

Cell and atoms:
```
KHoTm4S8
1.0
4.0562 2.3418 6.6608
-4.0562 2.3418 6.6608
0.0000 -4.6836 6.6608
K Ho Tm S
1 1 4 8
direct
0.0000 0.0000 0.0000 K
0.3690 0.3690 0.3690 Ho
0.3692 0.3692 0.8878 Tm
0.3692 0.8878 0.3692 Tm
0.7487 0.7487 0.7487 Tm
0.8878 0.3692 0.3692 Tm
0.1391 0.1391 0.5741 S
0.1391 0.5741 0.1391 S
0.1410 0.1410 0.1410 S
0.1455 0.6175 0.6175 S
0.5741 0.1391 0.1391 S
0.6164 0.6164 0.6164 S
0.6175 0.1455 0.6175 S
0.6175 0.6175 0.1455 S
```

***

11.
This entry pairs a crystal structure of MnAg2Br6 with its calculated powder diffraction line list. Radiation: Cu Kα (weighted mean of Kα1 and Kα2). Structure: DFT lattice parameters and positions (PBE).
Peak positions follow from Bragg's law for the DFT cell and can differ from measured ones.

Peak list (8 most intense, 2θ from 10° to 80°, low angle first)
2θ (°)  I (rel.)
15.54  62.8
24.28  38.8
29.40  40.9
29.86  100.0
37.99  42.7
38.36  61.2
46.15  38.6
49.78  18.2

Cell and atoms:
```
MnAg2Br6
1.0
6.8584 0.0000 0.0000
0.0000 6.5512 0.0000
-6.8568 0.0000 11.5805
Mn Ag Br
2 4 12
direct
0.0000 0.0000 0.0000 Mn
0.0000 0.5000 0.5000 Mn
0.3119 0.9995 0.8116 Ag
0.3119 0.5005 0.3116 Ag
0.6881 0.0005 0.1884 Ag
0.6881 0.4995 0.6884 Ag
0.0038 0.2173 0.8473 Br
0.0038 0.2827 0.3473 Br
0.2866 0.7203 0.5002 Br
0.2866 0.7797 0.0002 Br
0.3087 0.2186 0.1522 Br
0.3087 0.2814 0.6522 Br
0.6913 0.7186 0.3478 Br
0.6913 0.7814 0.8478 Br
0.7134 0.2203 0.9998 Br
0.7134 0.2797 0.4998 Br
0.9962 0.7173 0.6527 Br
0.9962 0.7827 0.1527 Br
```

***

12.
This entry pairs a crystal structure of U2HgPd9 with its calculated powder diffraction line list. Radiation: Cu Kα (weighted mean of Kα1 and Kα2). Structure: DFT lattice parameters and positions (PBE).
Peak positions follow from Bragg's law for the DFT cell and can differ from measured ones.

Peak list (8 most intense, 2θ from 10° to 80°, low angle first)
2θ (°)  I (rel.)
21.55  8.0
37.91  100.0
43.91  33.2
44.34  15.8
63.85  10.9
64.18  21.0
76.72  25.7
77.32  12.0

Cell and atoms:
```
U2HgPd9
1.0
4.1235 0.0000 0.0000
0.0000 4.1235 0.0000
0.0000 0.0000 12.2582
U Hg Pd
2 1 9
direct
0.0000 0.0000 0.1729 U
0.0000 0.0000 0.8271 U
0.0000 0.0000 0.5000 Hg
0.0000 0.5000 0.0000 Pd
0.0000 0.5000 0.3296 Pd
0.0000 0.5000 0.6704 Pd
0.5000 0.0000 0.0000 Pd
0.5000 0.0000 0.3296 Pd
0.5000 0.0000 0.6704 Pd
0.5000 0.5000 0.1657 Pd
0.5000 0.5000 0.5000 Pd
0.5000 0.5000 0.8343 Pd
```

***

13.
This entry pairs a crystal structure of Th4MnTc with its calculated powder diffraction line list. Radiation: Cu Kα (weighted mean of Kα1 and Kα2). Structure: DFT lattice parameters and positions (PBE).
Peak positions follow from Bragg's law for the DFT cell and can differ from measured ones.

Peak list (8 most intense, 2θ from 10° to 80°, low angle first)
2θ (°)  I (rel.)
27.71  63.0
28.67  100.0
29.50  36.6
31.34  76.7
32.82  56.2
33.81  47.6
36.66  38.6
40.94  41.4

Cell and atoms:
```
Th4MnTc
1.0
6.3248 0.0000 0.0000
-1.1098 7.0359 0.0000
-0.5984 -0.2273 7.1344
Th Mn Tc
8 2 2
direct
0.1540 0.1299 0.3272 Th
0.2163 0.3078 0.8239 Th
0.2932 0.7900 0.9900 Th
0.3109 0.6568 0.4567 Th
0.6891 0.3432 0.5433 Th
0.7068 0.2100 0.0100 Th
0.7837 0.6922 0.1761 Th
0.8460 0.8701 0.6728 Th
0.4517 0.4157 0.1812 Mn
0.5483 0.5843 0.8188 Mn
0.3904 0.9987 0.6745 Tc
0.6096 0.0013 0.3255 Tc
```